This entry pairs a crystal structure of Li3CoOF3 with its simulated powder diffraction line list. Radiation: Cu Kα. Structure: a cell relaxed with PBE+U.

```
data_Li3CoOF3
_cell_length_a 9.830
_cell_length_b 2.972
_cell_length_c 10.234
_cell_angle_alpha 90.00
_cell_angle_beta 100.57
_cell_angle_gamma 90.00
_symmetry_space_group_name_H-M 'C 1 2 1'
_symmetry_Int_Tables_number 5
loop_
_symmetry_equiv_pos_as_xyz
'x,y,z'
'-x,y,-z'
'x+1/2,y+1/2,z'
'-x+1/2,y+1/2,-z'
loop_
_atom_site_label
_atom_site_type_symbol
_atom_site_fract_x
_atom_site_fract_y
_atom_site_fract_z
_atom_site_occupancy
Li1 Li 0.000 0.000 0.000 1
Li2 Li 0.000 0.002 0.500 1
Li3 Li 0.002 0.500 0.253 1
Li4 Li 0.250 0.000 0.882 1
Co1 Co 0.245 0.999 0.385 1
O1 O 0.124 0.501 0.435 1
F1 F 0.124 0.999 0.180 1
F2 F 0.125 0.500 0.939 1
F3 F 0.129 0.002 0.701 1
```

Top 8 peaks for 5 to 70 degrees two-theta, most intense first:
(0 0 1), 2θ 8.79, I = 100
(3 1 -2), 2θ 43.05, I = 66
(2 0 0), 2θ 18.36, I = 47
(2 0 4), 2θ 43.50, I = 36
(5 1 2), 2θ 62.87, I = 34
(2 0 -1), 2θ 18.86, I = 25
(0 2 0), 2θ 62.51, I = 18
(1 1 -2), 2θ 35.45, I = 17